# 1
Simulated powder XRD pattern
Compound: CsU2P4O16
Radiation: Cu Kα
Structure: DFT lattice parameters and positions (PBE)

Top 8 peaks for 10 to 90 degrees two-theta, in order of rising 2θ:
2theta	I_rel
16.12	67
18.03	100
19.12	63
22.69	68
25.85	76
26.71	39
29.69	52
30.15	56

Cell and atoms:
```
CsU2P4O16
1.0
14.9251 -3.3141 0.0000
14.9251 3.3141 0.0000
-1.0460 0.0000 6.8927
Cs U P O
2 4 8 32
Direct
0.2107 0.7893 0.7500
0.7893 0.2107 0.2500
0.1729 0.4872 0.7867
0.4872 0.1729 0.2867
0.5128 0.8271 0.7133
0.8271 0.5128 0.2133
0.0151 0.3946 0.7364
0.2235 0.6103 0.1669
0.3897 0.7765 0.3331
0.3946 0.0151 0.2364
0.6054 0.9849 0.7636
0.6103 0.2235 0.6669
0.7765 0.3897 0.8331
0.9849 0.6054 0.2636
0.0733 0.7668 0.3240
0.0961 0.4146 0.7160
0.1041 0.6576 0.9813
0.1248 0.4771 0.0879
0.1346 0.5041 0.4394
0.1638 0.2040 0.2528
0.2040 0.1638 0.7528
0.2332 0.9267 0.1760
0.3424 0.8959 0.5187
0.3458 0.5684 0.0892
0.3821 0.3882 0.2213
0.3882 0.3821 0.7213
0.4146 0.0961 0.2160
0.4316 0.6542 0.4108
0.4771 0.1248 0.5879
0.4959 0.8654 0.0606
0.5041 0.1346 0.9394
0.5229 0.8752 0.4121
0.5684 0.3458 0.5892
0.5854 0.9039 0.7840
0.6118 0.6179 0.2787
0.6179 0.6118 0.7787
0.6542 0.4316 0.9108
0.6576 0.1041 0.4813
0.7668 0.0733 0.8240
0.7960 0.8362 0.2472
0.8362 0.7960 0.7472
0.8654 0.4959 0.5606
0.8752 0.5229 0.9121
0.8959 0.3424 0.0187
0.9039 0.5854 0.2840
0.9267 0.2332 0.6760
```

=====

# 2
Simulated powder XRD pattern
Compound: Cs3U2PO10
Radiation: Cu Kα
Structure: DFT lattice parameters and positions (PBE)

Top 8 peaks for 10 to 90 degrees two-theta, in order of rising 2θ:
2theta	I_rel
15.45	57
23.89	45
25.78	100
26.14	42
26.52	64
26.92	64
28.44	49
29.15	37

Cell and atoms:
```
Cs3U2PO10
1.0
6.8898 -4.1406 0.0000
6.8898 4.1406 0.0000
-5.2084 0.0000 11.4703
Cs U P O
6 4 2 20
Direct
0.0000 0.0000 0.0000
0.0000 0.0000 0.5000
0.0144 0.5865 0.6832
0.4135 0.9856 0.8168
0.5865 0.0144 0.1832
0.9856 0.4135 0.3168
0.0000 0.5000 0.0000
0.5000 0.0000 0.5000
0.5000 0.5000 0.0000
0.5000 0.5000 0.5000
0.2677 0.7323 0.2500
0.7323 0.2677 0.7500
0.0656 0.7456 0.1671
0.1837 0.2963 0.0721
0.2150 0.4909 0.9319
0.2544 0.9344 0.3329
0.2621 0.5999 0.5423
0.2963 0.1837 0.5721
0.3310 0.5855 0.3244
0.4001 0.7379 0.9577
0.4145 0.6690 0.1756
0.4910 0.2150 0.4319
0.5091 0.7850 0.5681
0.5855 0.3310 0.8244
0.5999 0.2621 0.0423
0.6690 0.4145 0.6756
0.7037 0.8163 0.4279
0.7379 0.4001 0.4577
0.7456 0.0656 0.6671
0.7850 0.5091 0.0681
0.8163 0.7037 0.9279
0.9344 0.2544 0.8329
```

=====

# 3
Simulated powder XRD pattern
Compound: Cs2UP2O9
Radiation: Cu Kα
Structure: DFT lattice parameters and positions (PBE)

Top 8 peaks for 10 to 90 degrees two-theta, in order of rising 2θ:
2theta	I_rel
19.59	33
19.74	26
24.10	100
25.94	34
26.14	33
28.16	29
30.99	28
31.24	23

Cell and atoms:
```
Cs2UP2O9
1.0
12.7685 0.0000 0.0000
0.0000 12.9409 0.0000
0.0000 0.0000 6.3368
Cs U P O
8 4 8 36
Direct
0.0717 0.2500 0.0075
0.2500 0.5732 0.9855
0.2500 0.9268 0.9855
0.4283 0.2500 0.0075
0.5717 0.7500 0.9925
0.7500 0.0732 0.0145
0.7500 0.4268 0.0145
0.9283 0.7500 0.9925
0.0000 0.0000 0.5000
0.0000 0.5000 0.5000
0.5000 0.0000 0.5000
0.5000 0.5000 0.5000
0.1310 0.7500 0.4852
0.2500 0.1328 0.4912
0.2500 0.3672 0.4912
0.3690 0.7500 0.4852
0.6310 0.2500 0.5148
0.7500 0.6328 0.5088
0.7500 0.8672 0.5088
0.8690 0.2500 0.5148
0.0451 0.5116 0.2283
0.0451 0.9884 0.2283
0.0805 0.6534 0.5902
0.0805 0.8466 0.5902
0.1322 0.7500 0.2490
0.1513 0.0846 0.5966
0.1513 0.4154 0.5966
0.2500 0.1336 0.2550
0.2500 0.2500 0.5890
0.2500 0.3664 0.2550
0.2500 0.7500 0.5837
0.3487 0.0846 0.5966
0.3487 0.4154 0.5966
0.3678 0.7500 0.2490
0.4195 0.6534 0.5902
0.4195 0.8466 0.5902
0.4549 0.5116 0.2283
0.4549 0.9884 0.2283
0.5451 0.0116 0.7717
0.5451 0.4884 0.7717
0.5805 0.1534 0.4098
0.5805 0.3466 0.4098
0.6322 0.2500 0.7510
0.6513 0.5846 0.4034
0.6513 0.9154 0.4034
0.7500 0.2500 0.4163
0.7500 0.6336 0.7450
0.7500 0.7500 0.4110
0.7500 0.8664 0.7450
0.8487 0.5846 0.4034
0.8487 0.9154 0.4034
0.8678 0.2500 0.7510
0.9195 0.1534 0.4098
0.9195 0.3466 0.4098
0.9549 0.0116 0.7717
0.9549 0.4884 0.7717
```

=====

# 4
Simulated powder XRD pattern
Compound: CsYP2O7
Radiation: Cu Kα
Structure: DFT lattice parameters and positions (PBE)

Top 8 peaks for 10 to 90 degrees two-theta, in order of rising 2θ:
2theta	I_rel
22.45	36
22.87	43
23.56	42
26.27	60
26.78	85
27.23	100
27.87	95
28.02	47

Cell and atoms:
```
CsYP2O7
1.0
8.0277 0.0000 0.0000
0.0000 11.0507 0.0000
-2.2004 0.0000 8.6223
Cs Y P O
4 4 8 28
Direct
0.1999 0.1908 0.0522
0.1999 0.3092 0.5522
0.8001 0.6908 0.4478
0.8001 0.8092 0.9478
0.2367 0.5995 0.2526
0.2367 0.9005 0.7526
0.7633 0.0995 0.2474
0.7633 0.4005 0.7474
0.1312 0.5964 0.8216
0.1312 0.9036 0.3216
0.4273 0.6297 0.6827
0.4273 0.8703 0.1827
0.5727 0.1297 0.8173
0.5727 0.3703 0.3173
0.8688 0.0964 0.6784
0.8688 0.4036 0.1784
0.0035 0.5038 0.7288
0.0035 0.9962 0.2288
0.0849 0.7257 0.7614
0.0849 0.7743 0.2614
0.1536 0.5853 0.9955
0.1536 0.9147 0.4955
0.3172 0.5613 0.7900
0.3172 0.9387 0.2900
0.3341 0.6037 0.5145
0.3341 0.8963 0.0145
0.3944 0.0715 0.7687
0.3944 0.4285 0.2687
0.4375 0.7358 0.2252
0.4375 0.7642 0.7252
0.5625 0.2358 0.2748
0.5625 0.2642 0.7748
0.6056 0.5715 0.7313
0.6056 0.9285 0.2313
0.6659 0.1037 0.9855
0.6659 0.3963 0.4855
0.6828 0.0613 0.7100
0.6828 0.4387 0.2100
0.8464 0.0853 0.5045
0.8464 0.4147 0.0045
0.9151 0.2257 0.7386
0.9151 0.2743 0.2386
0.9965 0.0038 0.7712
0.9965 0.4962 0.2712
```

=====

# 5
Simulated powder XRD pattern
Compound: Cs3YP2O8
Radiation: Cu Kα
Structure: DFT lattice parameters and positions (PBE)

Top 8 peaks for 10 to 90 degrees two-theta, in order of rising 2θ:
2theta	I_rel
24.28	54
24.70	41
26.34	55
26.85	37
26.97	100
27.16	79
28.63	70
29.20	96

Cell and atoms:
```
Cs3YP2O8
1.0
10.3698 0.0000 0.0000
0.0000 10.5303 0.0000
-3.2272 0.0000 10.2347
Cs Y P O
12 4 8 32
Direct
0.0104 0.0000 0.2949
0.0345 0.6497 0.1652
0.2750 0.9383 0.0655
0.2790 0.5190 0.5191
0.3320 0.3993 0.9553
0.4778 0.1011 0.7221
0.5222 0.6011 0.2779
0.6680 0.8993 0.0447
0.7210 0.0190 0.4809
0.7250 0.4383 0.9345
0.9655 0.1497 0.8348
0.9896 0.5000 0.7051
0.1582 0.8532 0.6613
0.3441 0.2094 0.3389
0.6559 0.7094 0.6611
0.8418 0.3532 0.3387
0.0994 0.3287 0.1527
0.1324 0.1981 0.5759
0.3629 0.8652 0.4254
0.3982 0.7253 0.8436
0.6018 0.2253 0.1564
0.6371 0.3652 0.5746
0.8676 0.6981 0.4241
0.9006 0.8287 0.8473
0.0113 0.7480 0.5020
0.0223 0.8485 0.7917
0.0610 0.3818 0.0127
0.1115 0.0599 0.6217
0.1427 0.1847 0.1598
0.1970 0.2829 0.6949
0.2211 0.1939 0.4818
0.2296 0.3958 0.2452
0.2664 0.6607 0.7530
0.2780 0.8738 0.5212
0.2929 0.7816 0.3068
0.3625 0.8718 0.8298
0.3868 0.0022 0.3788
0.4329 0.6823 0.9866
0.4796 0.1992 0.2098
0.4946 0.3096 0.4997
0.5054 0.8096 0.5003
0.5204 0.6992 0.7902
0.5671 0.1823 0.0134
0.6132 0.5022 0.6212
0.6375 0.3718 0.1702
0.7071 0.2816 0.6932
0.7220 0.3738 0.4788
0.7336 0.1607 0.2470
0.7704 0.8958 0.7548
0.7789 0.6939 0.5182
0.8030 0.7829 0.3051
0.8573 0.6847 0.8402
0.8885 0.5599 0.3783
0.9390 0.8818 0.9873
0.9777 0.3485 0.2083
0.9887 0.2480 0.4980
```